For Ac8Pm3Nd2, a GGA-PBE-relaxed structure gives the computed powder diffractogram in this record (Cu Kα, 1.54184 Å).
Neutral-atom scattering factors, no anomalous dispersion.

Top 12 peaks for 2θ from 10° to 90°, sorted by position:
- hkl 2 2 -1, 2θ 22.83, 3.895 Å, I 28
- hkl 2 2 1, 2θ 26.70, 3.339 Å, I 39
- hkl 4 0 -2, 2θ 28.61, 3.120 Å, I 56
- hkl 1 1 2, 2θ 29.53, 3.025 Å, I 100
- hkl 5 1 0, 2θ 30.34, 2.946 Å, I 52
- hkl 3 3 0, 2θ 32.07, 2.791 Å, I 22
- hkl 3 3 -1, 2θ 32.44, 2.760 Å, I 22
- hkl 6 2 -1, 2θ 37.82, 2.379 Å, I 15
- hkl 3 1 -4, 2θ 50.74, 1.799 Å, I 18
- hkl 1 5 2, 2θ 54.32, 1.689 Å, I 19
- hkl 5 5 0, 2θ 54.82, 1.675 Å, I 14
- hkl 7 3 1, 2θ 55.02, 1.669 Å, I 14

Structural model:
Unit cell a=16.263 b=9.972 c=7.322 alpha=90.00 beta=108.56 gamma=90.00
Space group C2/m (No. 12)
Inequivalent atoms, fractional coordinates:
Ac1 0.102 0.000 0.210 (multiplicity 4)
Ac2 0.119 0.184 0.697 (multiplicity 8)
Ac3 0.187 0.500 0.387 (multiplicity 4)
Pm1 0.000 0.336 0.000 (multiplicity 4)
Pm2 0.000 0.500 0.500 (multiplicity 2)
Nd1 0.190 0.500 0.916 (multiplicity 4)



For PrSm4Er3, a GGA-PBE-relaxed structure gives the computed powder diffractogram in this record (Cu Kα, 1.54184 Å).
Neutral-atom scattering factors, no anomalous dispersion.

Top 12 peaks for 2θ from 10° to 90°, sorted by position:
- hkl 0 0 2, 2θ 28.21, 3.164 Å, I 24
- hkl 4 0 0, 2θ 31.12, 2.874 Å, I 24
- hkl 2 2 1, 2θ 32.30, 2.772 Å, I 100
- hkl 4 0 2, 2θ 42.49, 2.127 Å, I 16
- hkl 0 4 0, 2θ 49.83, 1.830 Å, I 7
- hkl 0 2 3, 2θ 49.98, 1.825 Å, I 13
- hkl 6 2 1, 2θ 56.12, 1.639 Å, I 21
- hkl 4 4 0, 2θ 59.92, 1.544 Å, I 8
- hkl 4 2 3, 2θ 60.05, 1.541 Å, I 15
- hkl 2 4 2, 2θ 60.66, 1.527 Å, I 11
- hkl 2 0 4, 2θ 60.84, 1.523 Å, I 5
- hkl 8 2 3, 2θ 86.13, 1.129 Å, I 6

Structural model:
Unit cell a=11.496 b=7.320 c=6.316 alpha=90.00 beta=90.00 gamma=90.00
Space group Pmn2_1 (No. 31)
Inequivalent atoms, fractional coordinates:
Pr1 0.000 0.125 0.000 (multiplicity 2)
Sm1 0.000 0.373 0.504 (multiplicity 2)
Sm2 0.000 0.628 0.997 (multiplicity 2)
Sm3 0.247 0.626 0.335 (multiplicity 4)
Er1 0.000 0.877 0.501 (multiplicity 2)
Er2 0.250 0.123 0.333 (multiplicity 4)



For NaDyTl4, a GGA-PBE-relaxed structure gives the computed powder diffractogram in this record (Cu Kα, 1.54184 Å).
Neutral-atom scattering factors, no anomalous dispersion.

Top 12 peaks for 2θ from 10° to 90°, sorted by position:
- hkl 0 1 1, 2θ 19.98, 4.444 Å, I 16
- hkl 1 1 -1, 2θ 31.46, 2.844 Å, I 100
- hkl 1 0 2, 2θ 32.31, 2.771 Å, I 45
- hkl 0 1 3, 2θ 33.93, 2.642 Å, I 85
- hkl 0 2 0, 2θ 35.48, 2.530 Å, I 38
- hkl 1 0 -4, 2θ 45.09, 2.011 Å, I 20
- hkl 1 2 2, 2θ 48.74, 1.868 Å, I 30
- hkl 2 1 1, 2θ 55.48, 1.656 Å, I 17
- hkl 1 2 -4, 2θ 58.64, 1.574 Å, I 17
- hkl 1 1 5, 2θ 60.21, 1.537 Å, I 15
- hkl 1 3 -1, 2θ 61.21, 1.514 Å, I 15
- hkl 0 3 3, 2θ 62.72, 1.481 Å, I 16

Structural model:
Unit cell a=3.619 b=5.060 c=9.313 alpha=90.00 beta=93.50 gamma=90.00
Space group Pm (No. 6)
Inequivalent atoms, fractional coordinates:
Na1 0.000 0.000 0.000 (multiplicity 1)
Dy1 0.994 0.500 0.484 (multiplicity 1)
Tl1 0.362 0.500 0.821 (multiplicity 1)
Tl2 0.377 0.000 0.335 (multiplicity 1)
Tl3 0.600 0.500 0.156 (multiplicity 1)
Tl4 0.670 0.000 0.661 (multiplicity 1)



For LiZnRe, a GGA-PBE-relaxed structure gives the computed powder diffractogram in this record (Cu Kα, 1.54184 Å).
Neutral-atom scattering factors, no anomalous dispersion.

Top 12 peaks for 2θ from 10° to 90°, sorted by position:
- hkl 0 0 1, 2θ 12.97, 6.826 Å, I 100
- hkl 0 1 0, 2θ 18.35, 4.834 Å, I 23
- hkl 0 1 -1, 2θ 24.03, 3.703 Å, I 17
- hkl 0 0 2, 2θ 26.11, 3.413 Å, I 12
- hkl 0 2 1, 2θ 37.67, 2.388 Å, I 13
- hkl 1 1 0, 2θ 37.99, 2.369 Å, I 13
- hkl 0 0 3, 2θ 39.61, 2.275 Å, I 25
- hkl 1 -1 0, 2θ 40.43, 2.231 Å, I 23
- hkl 0 2 -1, 2θ 41.37, 2.182 Å, I 28
- hkl 1 1 -1, 2θ 41.94, 2.154 Å, I 20
- hkl 0 2 2, 2θ 42.64, 2.120 Å, I 21
- hkl 1 1 2, 2θ 43.64, 2.074 Å, I 18

Structural model:
Unit cell a=2.624 b=4.900 c=6.916 alpha=81.48 beta=85.69 gamma=85.31
Space group P-1 (No. 2)
Inequivalent atoms, fractional coordinates:
Li1 0.203 0.268 0.489 (multiplicity 2)
Zn1 0.001 0.923 0.824 (multiplicity 2)
Re1 0.447 0.410 0.846 (multiplicity 2)



For TiCrGaTc, a GGA-PBE-relaxed structure gives the computed powder diffractogram in this record (Cu Kα, 1.54184 Å).
Neutral-atom scattering factors, no anomalous dispersion.

Top 10 peaks for 2θ from 10° to 90°, sorted by position:
- hkl 1 1 1, 2θ 25.11, 3.547 Å, I 9
- hkl 2 0 0, 2θ 29.07, 3.071 Å, I 2
- hkl 2 2 0, 2θ 41.58, 2.172 Å, I 100
- hkl 3 1 1, 2θ 49.19, 1.852 Å, I 5
- hkl 2 2 2, 2θ 51.54, 1.773 Å, I 1
- hkl 4 0 0, 2θ 60.26, 1.536 Å, I 16
- hkl 3 3 1, 2θ 66.33, 1.409 Å, I 2
- hkl 4 2 0, 2θ 68.28, 1.374 Å, I 1
- hkl 4 2 2, 2θ 75.88, 1.254 Å, I 31
- hkl 5 1 1, 2θ 81.40, 1.182 Å, I 2

Structural model:
Unit cell a=6.143 b=6.143 c=6.143 alpha=90.00 beta=90.00 gamma=90.00
Space group F-43m (No. 216)
Inequivalent atoms, fractional coordinates:
Ti1 0.000 0.000 0.000 (multiplicity 4)
Cr1 0.250 0.250 0.750 (multiplicity 4)
Ga1 0.000 0.000 0.500 (multiplicity 4)
Tc1 0.250 0.250 0.250 (multiplicity 4)



For MnTl2GaSe4, a GGA-PBE-relaxed structure gives the computed powder diffractogram in this record (Cu Kα, 1.54184 Å).
Neutral-atom scattering factors, no anomalous dispersion.

Top 12 peaks for 2θ from 10° to 90°, sorted by position:
- hkl 1 0 1, 2θ 16.17, 5.481 Å, I 11
- hkl 2 0 0, 2θ 23.91, 3.722 Å, I 19
- hkl 1 1 2, 2θ 27.79, 3.210 Å, I 100
- hkl 1 2 1, 2θ 29.00, 3.079 Å, I 51
- hkl 2 2 0, 2θ 34.06, 2.632 Å, I 38
- hkl 1 0 3, 2θ 35.36, 2.538 Å, I 12
- hkl 3 0 1, 2θ 37.92, 2.373 Å, I 15
- hkl 3 1 2, 2θ 44.52, 2.035 Å, I 49
- hkl 2 0 4, 2θ 51.36, 1.779 Å, I 28
- hkl 2 4 0, 2θ 55.18, 1.665 Å, I 14
- hkl 2 3 3, 2θ 56.07, 1.640 Å, I 12
- hkl 1 5 2, 2θ 68.29, 1.373 Å, I 13

Structural model:
Unit cell a=7.444 b=7.444 c=8.100 alpha=90.00 beta=90.00 gamma=90.00
Space group I-4 (No. 82)
Inequivalent atoms, fractional coordinates:
Mn1 0.000 0.000 0.000 (multiplicity 2)
Tl1 0.000 0.000 0.500 (multiplicity 2)
Tl2 0.000 0.500 0.750 (multiplicity 2)
Ga1 0.000 0.500 0.250 (multiplicity 2)
Se1 0.160 0.740 0.104 (multiplicity 8)



For Ce3As4Rh4, a GGA-PBE-relaxed structure gives the computed powder diffractogram in this record (Cu Kα, 1.54184 Å).
Neutral-atom scattering factors, no anomalous dispersion.

Top 12 peaks for 2θ from 10° to 90°, sorted by position:
- hkl 1 2 1, 2θ 33.70, 2.660 Å, I 100
- hkl 0 1 5, 2θ 34.58, 2.594 Å, I 32
- hkl 1 1 4, 2θ 35.92, 2.500 Å, I 62
- hkl 1 2 3, 2θ 38.47, 2.340 Å, I 19
- hkl 0 0 6, 2θ 38.82, 2.320 Å, I 14
- hkl 1 0 5, 2θ 38.93, 2.313 Å, I 14
- hkl 0 3 3, 2θ 42.68, 2.119 Å, I 24
- hkl 2 0 0, 2θ 43.52, 2.080 Å, I 37
- hkl 1 2 5, 2θ 46.78, 1.942 Å, I 23
- hkl 0 4 0, 2θ 51.14, 1.786 Å, I 12
- hkl 2 1 5, 2θ 56.74, 1.623 Å, I 15
- hkl 2 3 3, 2θ 62.59, 1.484 Å, I 15

Structural model:
Unit cell a=4.159 b=7.144 c=13.919 alpha=90.00 beta=90.00 gamma=90.00
Space group Immm (No. 71)
Inequivalent atoms, fractional coordinates:
Ce1 0.000 0.000 0.000 (multiplicity 2)
Ce2 0.000 0.500 0.124 (multiplicity 4)
As1 0.000 0.000 0.214 (multiplicity 4)
As2 0.000 0.216 0.500 (multiplicity 4)
Rh1 0.000 0.296 0.320 (multiplicity 8)



For Er3HfCu4, a GGA-PBE-relaxed structure gives the computed powder diffractogram in this record (Cu Kα, 1.54184 Å).
Neutral-atom scattering factors, no anomalous dispersion.

Top 12 peaks for 2θ from 10° to 90°, sorted by position:
- hkl 0 1 2, 2θ 26.28, 3.391 Å, I 18
- hkl 1 0 0, 2θ 26.43, 3.372 Å, I 9
- hkl 0 0 4, 2θ 37.43, 2.402 Å, I 20
- hkl 0 2 0, 2θ 37.61, 2.392 Å, I 100
- hkl 1 0 4, 2θ 46.41, 1.957 Å, I 4
- hkl 0 2 4, 2θ 54.09, 1.695 Å, I 13
- hkl 2 0 0, 2θ 54.41, 1.686 Å, I 7
- hkl 1 2 4, 2θ 61.19, 1.515 Å, I 6
- hkl 1 1 6, 2θ 67.65, 1.385 Å, I 13
- hkl 1 3 2, 2θ 67.87, 1.381 Å, I 20
- hkl 2 2 0, 2θ 68.01, 1.378 Å, I 7
- hkl 0 4 0, 2θ 80.29, 1.196 Å, I 10

Structural model:
Unit cell a=3.372 b=4.786 c=9.610 alpha=90.00 beta=90.00 gamma=90.00
Space group Pmmm (No. 47)
Inequivalent atoms, fractional coordinates:
Er1 0.000 0.000 0.000 (multiplicity 1)
Er2 0.000 0.500 0.252 (multiplicity 2)
Hf1 0.000 0.000 0.500 (multiplicity 1)
Cu1 0.500 0.000 0.272 (multiplicity 2)
Cu2 0.500 0.500 0.000 (multiplicity 1)
Cu3 0.500 0.500 0.500 (multiplicity 1)



For Sm5NpBi6, a GGA-PBE-relaxed structure gives the computed powder diffractogram in this record (Cu Kα, 1.54184 Å).
Neutral-atom scattering factors, no anomalous dispersion.

Top 12 peaks for 2θ from 10° to 90°, sorted by position:
- hkl 1 1 0, 2θ 13.56, 6.530 Å, I 1
- hkl 2 0 0, 2θ 23.94, 3.718 Å, I 2
- hkl 1 3 1, 2θ 27.71, 3.220 Å, I 100
- hkl 2 0 2, 2θ 39.59, 2.277 Å, I 79
- hkl 1 3 3, 2θ 46.79, 1.942 Å, I 1
- hkl 4 0 0, 2θ 49.00, 1.859 Å, I 29
- hkl 2 6 2, 2θ 57.23, 1.610 Å, I 14
- hkl 1 3 -5, 2θ 62.91, 1.477 Å, I 1
- hkl 4 6 0, 2θ 64.74, 1.440 Å, I 38
- hkl 5 3 1, 2θ 71.82, 1.314 Å, I 28
- hkl 0 0 6, 2θ 76.94, 1.239 Å, I 1
- hkl 4 0 4, 2θ 85.26, 1.138 Å, I 9

Structural model:
Unit cell a=7.886 b=13.658 c=7.887 alpha=90.00 beta=109.45 gamma=90.00
Space group C2/m (No. 12)
Inequivalent atoms, fractional coordinates:
Sm1 0.000 0.000 0.000 (multiplicity 2)
Sm2 0.000 0.166 0.500 (multiplicity 4)
Sm3 0.000 0.332 0.000 (multiplicity 4)
Np1 0.000 0.500 0.500 (multiplicity 2)
Bi1 0.248 0.335 0.749 (multiplicity 8)
Bi2 0.248 0.500 0.251 (multiplicity 4)



For HfPI, a GGA-PBE-relaxed structure gives the computed powder diffractogram in this record (Cu Kα, 1.54184 Å).
Neutral-atom scattering factors, no anomalous dispersion.

Top 12 peaks for 2θ from 10° to 90°, sorted by position:
- hkl 0 1 -1, 2θ 24.79, 3.591 Å, I 100
- hkl 1 0 -2, 2θ 26.90, 3.315 Å, I 45
- hkl 0 0 4, 2θ 29.58, 3.020 Å, I 44
- hkl 1 0 -3, 2θ 30.77, 2.906 Å, I 28
- hkl 1 1 -1, 2θ 34.51, 2.599 Å, I 72
- hkl 1 1 -3, 2θ 39.18, 2.299 Å, I 13
- hkl 1 0 -5, 2θ 41.82, 2.160 Å, I 17
- hkl 1 1 3, 2θ 43.40, 2.085 Å, I 38
- hkl 0 1 5, 2θ 44.58, 2.033 Å, I 27
- hkl 0 2 0, 2θ 48.41, 1.880 Å, I 23
- hkl 2 0 -1, 2θ 50.17, 1.819 Å, I 15
- hkl 2 -1 0, 2θ 56.74, 1.622 Å, I 18

Structural model:
Unit cell a=3.637 b=3.761 c=12.212 alpha=90.08 beta=98.45 gamma=90.00
Space group P1 (No. 1)
Inequivalent atoms, fractional coordinates:
Hf1 0.000 0.000 0.000 (multiplicity 1)
Hf2 0.371 0.499 0.737 (multiplicity 1)
P1 0.484 0.500 0.967 (multiplicity 1)
P2 0.893 0.999 0.783 (multiplicity 1)
I1 0.112 0.001 0.226 (multiplicity 1)
I2 0.775 0.498 0.542 (multiplicity 1)



For Ca2AlAgO5, a GGA-PBE-relaxed structure gives the computed powder diffractogram in this record (Cu Kα, 1.54184 Å).
Neutral-atom scattering factors, no anomalous dispersion.

Top 12 peaks for 2θ from 10° to 90°, sorted by position:
- hkl 2 0 0, 2θ 10.25, 8.631 Å, I 42
- hkl 0 1 1, 2θ 23.56, 3.776 Å, I 14
- hkl 2 1 1, 2θ 25.75, 3.459 Å, I 31
- hkl 4 1 1, 2θ 31.48, 2.842 Å, I 100
- hkl 0 0 2, 2θ 33.57, 2.670 Å, I 41
- hkl 6 1 1, 2θ 39.37, 2.288 Å, I 13
- hkl 8 0 0, 2θ 41.86, 2.158 Å, I 11
- hkl 6 0 2, 2θ 46.40, 1.957 Å, I 15
- hkl 0 2 2, 2θ 48.20, 1.888 Å, I 23
- hkl 8 0 2, 2θ 54.69, 1.678 Å, I 24
- hkl 4 1 3, 2θ 58.72, 1.572 Å, I 37
- hkl 12 1 1, 2θ 69.99, 1.344 Å, I 11

Structural model:
Unit cell a=17.263 b=5.338 c=5.341 alpha=90.00 beta=90.00 gamma=90.00
Space group Ima2 (No. 46)
Inequivalent atoms, fractional coordinates:
Ca1 0.132 0.004 0.000 (multiplicity 8)
Al1 0.250 0.552 0.001 (multiplicity 4)
Ag1 0.000 0.000 0.512 (multiplicity 4)
O1 0.046 0.743 0.759 (multiplicity 8)
O2 0.162 0.090 0.577 (multiplicity 8)
O3 0.250 0.653 0.676 (multiplicity 4)



For SrCdH, a GGA-PBE-relaxed structure gives the computed powder diffractogram in this record (Cu Kα, 1.54184 Å).
Neutral-atom scattering factors, no anomalous dispersion.

Top 12 peaks for 2θ from 10° to 90°, sorted by position:
- hkl 1 0 1, 2θ 31.01, 2.884 Å, I 100
- hkl 1 1 0, 2θ 34.09, 2.630 Å, I 40
- hkl 0 0 2, 2θ 39.47, 2.283 Å, I 14
- hkl 2 0 0, 2θ 48.98, 1.860 Å, I 14
- hkl 1 1 2, 2θ 53.12, 1.724 Å, I 22
- hkl 2 1 1, 2θ 59.10, 1.563 Å, I 31
- hkl 2 0 2, 2θ 64.63, 1.442 Å, I 12
- hkl 1 0 3, 2θ 66.35, 1.409 Å, I 11
- hkl 3 0 1, 2θ 80.22, 1.197 Å, I 6
- hkl 3 1 0, 2θ 81.90, 1.176 Å, I 6
- hkl 2 2 2, 2θ 85.14, 1.140 Å, I 6
- hkl 2 1 3, 2θ 86.70, 1.123 Å, I 11

Structural model:
Unit cell a=3.720 b=3.720 c=4.567 alpha=90.00 beta=90.00 gamma=90.00
Space group P4/mmm (No. 123)
Inequivalent atoms, fractional coordinates:
Sr1 0.000 0.000 0.000 (multiplicity 1)
Cd1 0.500 0.500 0.500 (multiplicity 1)
H1 0.500 0.500 0.000 (multiplicity 1)